Computed PXRD pattern
Compound: Ac2PrS4
Radiation: λ = 1.5418 Å (Cu Kα)
Structure: a crystal structure in Alexandria, relaxed with GGA-PBE
Lines closer than 0.1° are merged.

Cell and atoms:
```
data_Ac2PrS4
_chemical_formula_sum 'Ac8 Pr4 S16'
_cell_length_a 4.076
_cell_length_b 14.295
_cell_length_c 13.909
_cell_angle_alpha 90.00
_cell_angle_beta 90.00
_cell_angle_gamma 90.00
_symmetry_space_group_name_H-M 'C m c m'
_symmetry_Int_Tables_number 63
_symmetry_space_group_name_Hall '-C 2c 2'
loop_
_atom_site_label
_atom_site_fract_x
_atom_site_fract_y
_atom_site_fract_z
Ac1 0.000 0.130 0.074
Pr1 0.000 0.373 0.250
S1 0.000 0.016 0.250
S2 0.000 0.220 0.625
S3 0.000 0.500 0.000
```

The 6 most intense peaks (2θ from 10° to 80°), by angle:
d 3.890, 22.86 deg, I = 100, (0 2 3)
d 3.773, 23.58 deg, I = 25, (1 1 1)
d 3.574, 24.92 deg, I = 28, (0 4 0)
d 3.023, 29.54 deg, I = 26, (1 3 1)
d 2.830, 31.62 deg, I = 41, (1 3 2)
d 2.119, 42.67 deg, I = 26, (0 6 3)